For SmSc2TaO8, DFT lattice parameters and positions (GGA-PBE) gives the theoretical X-ray diffraction stick pattern in this record (Cu Kα (weighted mean of Kα1 and Kα2)).
Peak positions follow from Bragg's law for the DFT cell and can differ from measured ones.

Top 8 peaks for 2θ = 5–70°, in order of rising 2θ:
two_theta, Rel. int.
18.2, 78
25.7, 62
25.9, 60
32.2, 100
36.8, 26
37.3, 30
49.6, 43
49.8, 41

a b c (Å): 6.8868 6.9342 6.7631
angles (deg): 90.00 90.00 90.00
Space group Cmmm (No. 65)
Asymmetric unit:
Sm 0.0000 0.0000 0.0000 x2
Sc 0.0000 0.5000 0.2571 x4
Ta 0.0000 0.0000 0.5000 x2
O 0.0000 0.2927 0.5000 x4
O 0.0000 0.3268 0.0000 x4
O 0.1969 0.0000 0.2848 x8

For NaTb4Se5, DFT lattice parameters and positions (GGA-PBE) gives the theoretical X-ray diffraction stick pattern in this record (Cu Kα (weighted mean of Kα1 and Kα2)).
Peak positions follow from Bragg's law for the DFT cell and can differ from measured ones.

Top 8 peaks for 2θ = 5–70°, in order of rising 2θ:
two_theta, Rel. int.
8.6, 18
30.7, 100
30.9, 49
43.8, 18
44.0, 19
44.1, 73
54.6, 19
54.7, 19

a b c (Å): 4.1195 5.7868 20.6512
angles (deg): 90.00 90.00 90.00
Space group Immm (No. 71)
Asymmetric unit:
Na 0.0000 0.0000 0.0000 x2
Tb 0.0000 0.0000 0.2039 x4
Tb 0.0000 0.0000 0.3991 x4
Se 0.0000 0.5000 0.0000 x2
Se 0.0000 0.5000 0.1985 x4
Se 0.0000 0.5000 0.3968 x4

For TbY2Hf, DFT lattice parameters and positions (GGA-PBE) gives the theoretical X-ray diffraction stick pattern in this record (Cu Kα (weighted mean of Kα1 and Kα2)).
Peak positions follow from Bragg's law for the DFT cell and can differ from measured ones.

Top 8 peaks for 2θ = 5–70°, in order of rising 2θ:
two_theta, Rel. int.
31.9, 100
36.9, 17
37.0, 33
53.2, 23
53.3, 12
63.3, 14
63.5, 27
66.6, 12

a b c (Å): 4.8600 4.8600 4.8781
angles (deg): 90.00 90.00 90.00
Space group P4/mmm (No. 123)
Asymmetric unit:
Tb 0.0000 0.0000 0.0000 x1
Y 0.0000 0.5000 0.5000 x2
Hf 0.5000 0.5000 0.0000 x1